The following is a simulated PXRD pattern of K2MnH2OF5. It was derived from a crystal structure in Alexandria, relaxed with GGA+U, using copper Kα.

Top 8 peaks for 2θ = 10–90°, in order of falling intensity:
two_theta  d/Å  intensity  (hkl)
14.00  6.325  100  0 0 1
14.70  6.025  76  1 0 0
28.67  3.113  75  1 2 -1
25.70  3.466  66  0 2 1
26.10  3.414  61  1 2 0
43.69  2.072  56  0 4 0
32.85  2.726  51  2 1 -1
33.87  2.647  34  1 0 2

Structure:
Cell lengths 6.0892, 8.2872, 6.3929 Å; angles 90.00, 98.34, 90.00 degrees
Space group P2_1 (No. 4)
One atom of each set of equivalent atoms:
K: 0.0110 0.0000 0.1153
K: 0.3827 0.4997 0.4705
Mn: 0.5005 0.2491 0.0002
H: 0.1547 0.0959 0.6262
H: 0.1547 0.9052 0.6268
O: 0.0863 0.0003 0.5499
F: 0.2585 0.7044 0.1445
F: 0.2592 0.2929 0.1449
F: 0.3036 0.7409 0.7348
F: 0.3049 0.2573 0.7348
F: 0.4355 0.9989 0.0336